# 1
Starting from DFT lattice parameters and positions (GGA-PBE), the powder diffraction line list of Zr9BW4 was simulated for copper Kα.
Lines closer than 0.1° are merged.

Most intense lines, 2θ = 10–80°, by angle:
2theta	d/Å	intensity
11.8	7.502	97
33.2	2.695	21
35.9	2.501	13
37.4	2.403	73
37.9	2.372	100
39.4	2.288	35
41.7	2.166	40
62.9	1.478	17
64.5	1.444	21
65.5	1.424	25
65.9	1.418	21
79.8	1.201	14

Atomic structure:
abc: 8.6627 8.6627 8.6634
angles: 90.00 90.00 120.00
Fractional coordinates of all 28 atoms:
Zr 0.0757 0.5378 0.2500
Zr 0.2029 0.4058 0.5550
Zr 0.2029 0.4058 0.9450
Zr 0.2029 0.7971 0.5550
Zr 0.2029 0.7971 0.9450
Zr 0.4058 0.2029 0.0550
Zr 0.4058 0.2029 0.4450
Zr 0.4622 0.5378 0.2500
Zr 0.4622 0.9243 0.2500
Zr 0.5378 0.0757 0.7500
Zr 0.5378 0.4622 0.7500
Zr 0.5942 0.7971 0.5550
Zr 0.5942 0.7971 0.9450
Zr 0.7971 0.2029 0.0550
Zr 0.7971 0.2029 0.4450
Zr 0.7971 0.5942 0.0550
Zr 0.7971 0.5942 0.4450
Zr 0.9243 0.4622 0.7500
B 0.3333 0.6667 0.7500
B 0.6667 0.3333 0.2500
W 0.0000 0.0000 0.0000
W 0.0000 0.0000 0.5000
W 0.1094 0.2188 0.2500
W 0.1094 0.8906 0.2500
W 0.2188 0.1094 0.7500
W 0.7812 0.8906 0.2500
W 0.8906 0.1094 0.7500
W 0.8906 0.7812 0.7500

# 2
Starting from DFT lattice parameters and positions (GGA-PBE), the powder diffraction line list of Sr3AuN3 was simulated for copper Kα.
Lines closer than 0.1° are merged.

Most intense lines, 2θ = 10–80°, by angle:
2theta	d/Å	intensity
20.7	4.290	20
21.3	4.166	37
30.1	2.971	100
30.5	2.932	99
33.4	2.685	63
33.7	2.660	42
38.1	2.362	39
48.1	1.890	34
51.5	1.773	32
57.6	1.600	17
57.8	1.594	23
63.5	1.466	15

Atomic structure:
abc: 7.0477 5.3695 7.6191
angles: 90.00 110.55 90.00
Fractional coordinates of all 14 atoms:
Sr 0.0615 0.2500 0.3628
Sr 0.2924 0.2500 0.8917
Sr 0.4220 0.7500 0.6214
Sr 0.5780 0.2500 0.3786
Sr 0.7076 0.7500 0.1083
Sr 0.9385 0.7500 0.6372
Au 0.2425 0.7500 0.1665
Au 0.7575 0.2500 0.8335
N 0.0900 0.7500 0.3581
N 0.3022 0.7500 0.9226
N 0.4094 0.2500 0.6210
N 0.5906 0.7500 0.3790
N 0.6978 0.2500 0.0774
N 0.9100 0.2500 0.6419

# 3
Starting from DFT lattice parameters and positions (GGA-PBE), the powder diffraction line list of Tb2SnS5 was simulated for copper Kα.
Lines closer than 0.1° are merged.

Most intense lines, 2θ = 10–80°, by angle:
2theta	d/Å	intensity
22.9	3.884	72
26.2	3.408	100
27.1	3.289	65
28.1	3.178	43
33.8	2.652	29
35.2	2.546	40
36.5	2.459	85
39.5	2.284	29
42.3	2.138	38
47.5	1.915	39
48.0	1.897	51
55.0	1.670	28

Atomic structure:
abc: 7.7676 11.3761 3.8313
angles: 90.00 90.00 90.00
Fractional coordinates of all 16 atoms:
Tb 0.0318 0.1727 0.0000
Tb 0.4682 0.6727 0.0000
Tb 0.5318 0.3273 0.0000
Tb 0.9682 0.8273 0.0000
Sn 0.0000 0.5000 0.5000
Sn 0.5000 0.0000 0.5000
S 0.0000 0.0000 0.5000
S 0.1716 0.4036 0.0000
S 0.1749 0.6961 0.5000
S 0.3251 0.1961 0.5000
S 0.3284 0.9036 0.0000
S 0.5000 0.5000 0.5000
S 0.6716 0.0964 0.0000
S 0.6749 0.8039 0.5000
S 0.8251 0.3039 0.5000
S 0.8284 0.5964 0.0000

# 4
Starting from DFT lattice parameters and positions (GGA-PBE), the powder diffraction line list of Na3CaHfP3O12 was simulated for copper Kα.
Lines closer than 0.1° are merged.

Most intense lines, 2θ = 10–80°, by angle:
2theta	d/Å	intensity
13.6	6.510	91
19.3	4.608	100
19.4	4.584	20
22.6	3.932	20
23.6	3.764	15
27.4	3.251	25
30.7	2.916	54
30.8	2.905	52
33.7	2.662	66
44.0	2.057	15
46.1	1.968	15
52.5	1.743	31

Atomic structure:
abc: 9.2128 9.2128 9.1682
angles: 119.79 119.79 60.05
Fractional coordinates of all 40 atoms:
Na 0.0675 0.9325 0.5000
Na 0.1958 0.6590 0.0421
Na 0.5844 0.7664 0.2977
Na 0.6590 0.1958 0.5421
Na 0.7664 0.5844 0.7977
Na 0.9325 0.0675 0.0000
Ca 0.3269 0.8259 0.9134
Ca 0.8259 0.3269 0.4134
Hf 0.0413 0.5254 0.2086
Hf 0.5254 0.0413 0.7086
P 0.1353 0.2332 0.8247
P 0.2332 0.1353 0.3247
P 0.4160 0.6441 0.5047
P 0.6441 0.4160 0.0047
P 0.7378 0.9147 0.1081
P 0.9147 0.7378 0.6081
O 0.0595 0.7784 0.7880
O 0.0806 0.1572 0.3635
O 0.1242 0.4091 0.9882
O 0.1572 0.0806 0.8635
O 0.1836 0.3019 0.2771
O 0.2502 0.6296 0.3291
O 0.2658 0.9604 0.1700
O 0.3019 0.1836 0.7771
O 0.3599 0.6926 0.6567
O 0.4091 0.1242 0.4882
O 0.4622 0.8063 0.5389
O 0.4723 0.5747 0.9923
O 0.5747 0.4723 0.4923
O 0.5901 0.8622 0.0764
O 0.6296 0.2502 0.8291
O 0.6926 0.3599 0.1567
O 0.6933 0.9616 0.9404
O 0.7445 0.9122 0.6081
O 0.7784 0.0595 0.2880
O 0.8063 0.4622 0.0389
O 0.8622 0.5901 0.5764
O 0.9122 0.7445 0.1081
O 0.9604 0.2658 0.6700
O 0.9616 0.6933 0.4404

# 5
Starting from DFT lattice parameters and positions (GGA-PBE), the powder diffraction line list of LaDy was simulated for copper Kα.
Lines closer than 0.1° are merged.

Most intense lines, 2θ = 10–80°, by angle:
2theta	d/Å	intensity
28.2	3.170	24
30.0	2.982	26
32.0	2.799	100
41.6	2.172	17
49.8	1.830	19
54.5	1.684	22
59.2	1.560	23
60.4	1.532	16
62.3	1.491	3
66.9	1.400	4
69.7	1.349	4
76.9	1.239	8

Atomic structure:
abc: 3.6600 3.6600 5.9649
angles: 90.00 90.00 120.00
Fractional coordinates of all 2 atoms:
La 0.0000 0.0000 0.0000
Dy 0.3333 0.6667 0.5000

# 6
Starting from DFT lattice parameters and positions (GGA-PBE), the powder diffraction line list of CsRuN2 was simulated for copper Kα.
Lines closer than 0.1° are merged.

Most intense lines, 2θ = 10–80°, by angle:
2theta	d/Å	intensity
29.2	3.054	100
34.4	2.605	2
36.0	2.494	1
41.8	2.160	15
51.8	1.763	39
55.3	1.663	1
60.6	1.527	15
68.7	1.366	17
76.4	1.247	4

Atomic structure:
abc: 6.1087 6.1087 6.1087
angles: 60.00 60.00 60.00
Fractional coordinates of all 8 atoms:
Cs 0.1250 0.1250 0.1250
Cs 0.8750 0.8750 0.8750
Ru 0.3750 0.3750 0.3750
Ru 0.6250 0.6250 0.6250
N 0.0000 0.5000 0.5000
N 0.5000 0.0000 0.5000
N 0.5000 0.5000 0.0000
N 0.5000 0.5000 0.5000

# 7
Starting from DFT lattice parameters and positions (GGA-PBE), the powder diffraction line list of TmZnRh2 was simulated for copper Kα.
Lines closer than 0.1° are merged.

Most intense lines, 2θ = 10–80°, by angle:
2theta	d/Å	intensity
24.0	3.705	11
39.7	2.269	100
47.0	1.935	6
57.4	1.604	17
63.2	1.472	3
72.1	1.310	34
77.3	1.235	2

Atomic structure:
abc: 4.5373 4.5373 4.5373
angles: 60.00 60.00 60.00
Fractional coordinates of all 4 atoms:
Tm 0.0000 0.0000 0.0000
Zn 0.5000 0.5000 0.5000
Rh 0.2500 0.2500 0.2500
Rh 0.7500 0.7500 0.7500

# 8
Starting from DFT lattice parameters and positions (GGA-PBE), the powder diffraction line list of AlCuCl4 was simulated for copper Kα.
Lines closer than 0.1° are merged.

Most intense lines, 2θ = 10–80°, by angle:
2theta	d/Å	intensity
16.0	5.556	33
18.2	4.866	20
23.8	3.734	26
28.8	3.099	100
36.2	2.485	9
39.2	2.296	7
40.5	2.229	13
46.2	1.964	21
48.8	1.867	38
55.4	1.659	23
59.9	1.545	10
78.8	1.214	8

Atomic structure:
abc: 5.5559 5.5559 10.0841
angles: 90.00 90.00 90.00
Fractional coordinates of all 12 atoms:
Al 0.0000 0.5000 0.2500
Al 0.5000 0.0000 0.7500
Cu 0.0000 0.0000 0.0000
Cu 0.0000 0.0000 0.5000
Cl 0.2265 0.2730 0.3725
Cl 0.2265 0.7270 0.1275
Cl 0.2730 0.2265 0.8725
Cl 0.2730 0.7735 0.6275
Cl 0.7270 0.2265 0.6275
Cl 0.7270 0.7735 0.8725
Cl 0.7735 0.2730 0.1275
Cl 0.7735 0.7270 0.3725

Repeat the fifth record exactly.
Starting from DFT lattice parameters and positions (GGA-PBE), the powder diffraction line list of LaDy was simulated for copper Kα.
Lines closer than 0.1° are merged.

Most intense lines, 2θ = 10–80°, by angle:
2theta	d/Å	intensity
28.2	3.170	24
30.0	2.982	26
32.0	2.799	100
41.6	2.172	17
49.8	1.830	19
54.5	1.684	22
59.2	1.560	23
60.4	1.532	16
62.3	1.491	3
66.9	1.400	4
69.7	1.349	4
76.9	1.239	8

Atomic structure:
abc: 3.6600 3.6600 5.9649
angles: 90.00 90.00 120.00
Fractional coordinates of all 2 atoms:
La 0.0000 0.0000 0.0000
Dy 0.3333 0.6667 0.5000